[1]
Na8SbO3: computed X-ray powder pattern (Cu Kα), based on the GGA-PBE geometry in the Materials Project.
No peak broadening, texture or thermal motion is included.

Peak list (12 most intense, 10° ≤ 2θ ≤ 90°, in order of rising 2θ)
14.40 deg, 6.150 Å, I = 34, (1 0 0); 20.42 deg, 4.349 Å, I = 58, (1 1 0); 25.08 deg, 3.551 Å, I = 64, (1 1 1); 32.56 deg, 2.750 Å, I = 52, (2 1 0); 35.76 deg, 2.511 Å, I = 25, (2 1 1); 41.53 deg, 2.174 Å, I = 100, (2 2 0); 44.18 deg, 2.050 Å, I = 20, (3 0 0); 49.13 deg, 1.854 Å, I = 27, (3 1 1); 55.94 deg, 1.644 Å, I = 18, (3 2 1); 60.19 deg, 1.537 Å, I = 14, (4 0 0); 62.24 deg, 1.492 Å, I = 18, (3 2 2); 75.77 deg, 1.255 Å, I = 24, (4 2 2)

Structure:
```
data_Na8SbO3
_chemical_formula_sum 'Na8 Sb1 O3'
_symmetry_space_group_name_H-M 'P m -3 m'
_symmetry_Int_Tables_number 221
_symmetry_space_group_name_Hall '-P 4 2 3'
_cell_length_a 6.1499
_cell_length_b 6.1499
_cell_length_c 6.1499
_cell_angle_alpha 90.00
_cell_angle_beta 90.00
_cell_angle_gamma 90.00
loop_
_atom_site_label
_atom_site_fract_x
_atom_site_fract_y
_atom_site_fract_z
_atom_site_occupancy
Na1 0.2299 0.2299 0.2299 1
Sb1 0.5000 0.5000 0.5000 1
O1 0.0000 0.0000 0.5000 1
```

[2]
NaSbO2: computed X-ray powder pattern (Cu Kα), based on the GGA-PBE geometry in the Materials Project.
No peak broadening, texture or thermal motion is included.

Peak list (12 most intense, 10° ≤ 2θ ≤ 90°, in order of rising 2θ)
18.92 deg, 4.690 Å, I = 100, (1 1 0); 19.63 deg, 4.523 Å, I = 37, (1 1 -1); 30.28 deg, 2.951 Å, I = 29, (2 0 0); 30.83 deg, 2.900 Å, I = 57, (0 2 1); 32.09 deg, 2.789 Å, I = 24, (2 0 -2); 33.14 deg, 2.704 Å, I = 85, (2 2 -1); 35.46 deg, 2.532 Å, I = 20, (1 1 -2); 38.50 deg, 2.338 Å, I = 15, (1 3 -1); 41.11 deg, 2.196 Å, I = 28, (0 0 2); 48.10 deg, 1.892 Å, I = 21, (4 0 -2); 52.62 deg, 1.739 Å, I = 21, (2 2 1); 54.94 deg, 1.671 Å, I = 19, (2 2 -3)

Structure:
```
data_NaSbO2
_chemical_formula_sum 'Na4 Sb4 O8'
_symmetry_space_group_name_H-M 'C 1 2/c 1'
_symmetry_Int_Tables_number 15
_symmetry_space_group_name_Hall '-C 2yc'
_cell_length_a 7.5823
_cell_length_b 7.7263
_cell_length_c 5.6406
_cell_angle_alpha 90.00
_cell_angle_beta 128.88
_cell_angle_gamma 90.00
loop_
_atom_site_label
_atom_site_fract_x
_atom_site_fract_y
_atom_site_fract_z
_atom_site_occupancy
Na1 0.0000 0.1231 0.2500 1
Sb1 0.0000 0.3921 0.7500 1
O1 0.2016 0.4420 0.2473 1
```

[3]
Na2Sb4O11: computed X-ray powder pattern (Cu Kα), based on the GGA-PBE geometry in the Materials Project.
No peak broadening, texture or thermal motion is included.

Peak list (12 most intense, 10° ≤ 2θ ≤ 90°, in order of rising 2θ)
12.23 deg, 7.237 Å, I = 53, (0 0 1); 12.42 deg, 7.125 Å, I = 100, (1 1 0); 14.51 deg, 6.105 Å, I = 34, (2 0 -1); 24.99 deg, 3.563 Å, I = 30, (2 2 0); 26.37 deg, 3.380 Å, I = 19, (0 2 1); 27.26 deg, 3.271 Å, I = 13, (1 1 -2); 27.53 deg, 3.240 Å, I = 15, (2 2 -1); 29.48 deg, 3.030 Å, I = 13, (3 1 -2); 32.04 deg, 2.793 Å, I = 20, (4 0 2); 34.74 deg, 2.582 Å, I = 13, (2 2 -2); 36.10 deg, 2.488 Å, I = 20, (6 2 0); 47.57 deg, 1.911 Å, I = 13, (0 4 0)

Structure:
```
data_Na2Sb4O11
_chemical_formula_sum 'Na8 Sb16 O44'
_symmetry_space_group_name_H-M 'C 1 2 1'
_symmetry_Int_Tables_number 5
_symmetry_space_group_name_Hall 'C 2y'
_cell_length_a 19.7498
_cell_length_b 7.6450
_cell_length_c 7.2685
_cell_angle_alpha 90.00
_cell_angle_beta 95.32
_cell_angle_gamma 90.00
loop_
_atom_site_label
_atom_site_fract_x
_atom_site_fract_y
_atom_site_fract_z
_atom_site_occupancy
Na1 0.0256 0.0000 0.2806 1
Na2 0.2358 0.4859 0.0634 1
Sb1 0.0695 0.4846 0.0929 1
Sb2 0.0742 0.4852 0.6137 1
Sb3 0.1723 0.7437 0.4315 1
Sb4 0.1725 0.2266 0.4321 1
O1 0.0000 0.3098 0.0000 1
O2 0.0000 0.6589 0.0000 1
O3 0.0216 0.4850 0.3403 1
O4 0.0849 0.2282 0.5616 1
O5 0.0853 0.7417 0.5621 1
O6 0.1180 0.4836 0.8648 1
O7 0.1293 0.2897 0.1821 1
O8 0.1308 0.6773 0.1806 1
O9 0.1528 0.9851 0.3484 1
O10 0.1657 0.4849 0.5093 1
O11 0.2345 0.7786 0.6641 1
O12 0.2346 0.1906 0.6641 1
```

[4]
NaSbO6: computed X-ray powder pattern (Cu Kα), based on the GGA-PBE geometry in the Materials Project.
No peak broadening, texture or thermal motion is included.

Peak list (12 most intense, 10° ≤ 2θ ≤ 90°, in order of rising 2θ)
19.28 deg, 4.603 Å, I = 95, (1 1 1); 20.33 deg, 4.368 Å, I = 100, (2 0 0); 33.08 deg, 2.708 Å, I = 42, (2 0 2); 34.98 deg, 2.565 Å, I = 36, (3 1 1); 39.14 deg, 2.302 Å, I = 39, (2 2 2); 41.34 deg, 2.184 Å, I = 21, (4 0 0); 46.49 deg, 1.953 Å, I = 17, (4 2 0); 49.38 deg, 1.846 Å, I = 15, (4 0 2); 51.70 deg, 1.768 Å, I = 14, (3 1 3); 53.93 deg, 1.700 Å, I = 25, (4 2 2); 61.55 deg, 1.507 Å, I = 13, (2 2 4); 73.91 deg, 1.282 Å, I = 12, (6 2 2)

Structure:
```
data_NaSbO6
_chemical_formula_sum 'Na4 Sb4 O24'
_symmetry_space_group_name_H-M 'P 42/n n m'
_symmetry_Int_Tables_number 134
_cell_length_a 8.7358
_cell_length_b 8.7358
_cell_length_c 6.9036
_cell_angle_alpha 90.00
_cell_angle_beta 90.00
_cell_angle_gamma 90.00
loop_
_symmetry_equiv_pos_as_xyz
'x,y,z'
'-x,-y,-z'
'-y+1/2,x,z+1/2'
'y+1/2,-x,-z+1/2'
'-x+1/2,-y+1/2,z'
'x+1/2,y+1/2,-z'
'y,-x+1/2,z+1/2'
'-y,x+1/2,-z+1/2'
'x,-y+1/2,-z+1/2'
'-x,y+1/2,z+1/2'
'-y+1/2,-x+1/2,-z'
'y+1/2,x+1/2,z'
'-x+1/2,y,-z+1/2'
'x+1/2,-y,z+1/2'
'y,x,-z'
'-y,-x,z'
loop_
_atom_site_label
_atom_site_fract_x
_atom_site_fract_y
_atom_site_fract_z
_atom_site_occupancy
Na1 0.0000 0.0000 0.0000 1
Sb1 0.0000 0.0000 0.5000 1
O1 0.0225 0.2491 0.3463 1
O2 0.0924 0.5924 0.2082 1
```

> Number 4 is which compound?

NaSbO6